Tb2HoErTm6: theoretical powder diffraction line list (a wavelength of 1.5418 Å), based on a crystal structure in Alexandria, relaxed with GGA-PBE.

The 12 most intense peaks (2θ from 15° to 90°), low angle first:
- 2θ = 28.46°, I 14
- 2θ = 29.15°, I 37
- 2θ = 31.12°, I 44
- 2θ = 31.19°, I 60
- 2θ = 31.87°, I 48
- 2θ = 32.18°, I 100
- 2θ = 32.88°, I 18
- 2θ = 34.29°, I 57
- 2θ = 34.97°, I 15
- 2θ = 38.92°, I 17
- 2θ = 51.74°, I 13
- 2θ = 61.86°, I 19

Structural model:
Cell lengths 8.6399, 8.6399, 9.4522 Å; angles 94.21, 94.21, 118.02 degrees
Atoms (fractional coordinates):
Tb 0.1953 0.3008 0.0440
Tb 0.3008 0.1953 0.5440
Tb 0.6992 0.8047 0.4560
Tb 0.8047 0.6992 0.9560
Ho 0.0215 0.9785 0.2500
Ho 0.9785 0.0215 0.7500
Er 0.4082 0.5918 0.7500
Er 0.5918 0.4082 0.2500
Tm 0.0209 0.5729 0.1852
Tm 0.1260 0.7488 0.5570
Tm 0.2512 0.8740 0.9430
Tm 0.2901 0.5028 0.3806
Tm 0.4271 0.9791 0.3148
Tm 0.4972 0.7099 0.1194
Tm 0.5028 0.2901 0.8806
Tm 0.5729 0.0209 0.6852
Tm 0.7099 0.4972 0.6194
Tm 0.7488 0.1260 0.0570
Tm 0.8740 0.2512 0.4430
Tm 0.9791 0.4271 0.8148

Tb2HoEr5Tm: theoretical powder diffraction line list (a wavelength of 1.5418 Å), based on a crystal structure in Alexandria, relaxed with GGA-PBE.

The 12 most intense peaks (2θ from 15° to 90°), low angle first:
- 2θ = 28.56°, I 16
- 2θ = 30.65°, I 35
- 2θ = 32.40°, I 39
- 2θ = 32.78°, I 100
- 2θ = 33.31°, I 7
- 2θ = 34.27°, I 13
- 2θ = 43.73°, I 10
- 2θ = 47.88°, I 10
- 2θ = 51.83°, I 10
- 2θ = 58.04°, I 20
- 2θ = 60.59°, I 12
- 2θ = 62.47°, I 12

Structural model:
Cell lengths 10.2068, 10.2068, 10.4664 Å; angles 90.00, 90.00, 148.59 degrees
Atoms (fractional coordinates):
Tb 0.1105 0.8895 0.5000
Tb 0.1132 0.8868 0.0824
Tb 0.8868 0.1132 0.5824
Tb 0.8895 0.1105 0.0000
Ho 0.1999 0.8001 0.7751
Ho 0.8001 0.1999 0.2751
Er 0.0183 0.9817 0.7874
Er 0.2812 0.7188 0.0717
Er 0.3009 0.6991 0.4727
Er 0.3889 0.6111 0.7859
Er 0.4800 0.5200 0.5028
Er 0.5200 0.4800 0.0028
Er 0.6111 0.3889 0.2859
Er 0.6991 0.3009 0.9727
Er 0.7188 0.2812 0.5717
Er 0.9817 0.0183 0.2874
Tm 0.4124 0.5876 0.2223
Tm 0.5876 0.4124 0.7223

Tb6HoEr3Tm2: theoretical powder diffraction line list (a wavelength of 1.5418 Å), based on a crystal structure in Alexandria, relaxed with GGA-PBE.

The 12 most intense peaks (2θ from 15° to 90°), low angle first:
- 2θ = 31.10°, I 100
- 2θ = 36.07°, I 51
- 2θ = 51.87°, I 18
- 2θ = 51.99°, I 18
- 2θ = 61.72°, I 18
- 2θ = 61.79°, I 18
- 2θ = 61.89°, I 7
- 2θ = 64.80°, I 9
- 2θ = 76.51°, I 6
- 2θ = 84.76°, I 9
- 2θ = 87.50°, I 6
- 2θ = 87.62°, I 6

Structural model:
Cell lengths 6.1047, 6.1047, 11.6554 Å; angles 94.99, 94.99, 119.95 degrees
Atoms (fractional coordinates):
Tb 0.0835 0.4170 0.7498
Tb 0.2501 0.2501 0.2502
Tb 0.4170 0.0835 0.7498
Tb 0.5830 0.9165 0.2502
Tb 0.7499 0.7499 0.7498
Tb 0.9165 0.5830 0.2502
Ho 0.0000 0.0000 0.5000
Er 0.1667 0.8333 0.0000
Er 0.5000 0.5000 0.0000
Er 0.8333 0.1667 0.0000
Tm 0.3333 0.6667 0.5000
Tm 0.6667 0.3333 0.5000

Tb5HoErTm2: theoretical powder diffraction line list (a wavelength of 1.5418 Å), based on a crystal structure in Alexandria, relaxed with GGA-PBE.

The 12 most intense peaks (2θ from 15° to 90°), low angle first:
- 2θ = 27.02°, I 9
- 2θ = 28.36°, I 16
- 2θ = 30.54°, I 34
- 2θ = 32.28°, I 38
- 2θ = 32.61°, I 100
- 2θ = 34.17°, I 13
- 2θ = 43.50°, I 10
- 2θ = 47.72°, I 10
- 2θ = 51.61°, I 10
- 2θ = 57.78°, I 20
- 2θ = 60.19°, I 14
- 2θ = 62.19°, I 13

Structural model:
Cell lengths 10.2772, 10.2772, 10.4970 Å; angles 90.00, 90.00, 148.69 degrees
Atoms (fractional coordinates):
Tb 0.0176 0.9824 0.5000
Tb 0.2810 0.7190 0.7878
Tb 0.2998 0.7002 0.1855
Tb 0.3887 0.6113 0.5011
Tb 0.4800 0.5200 0.2181
Tb 0.5200 0.4800 0.7181
Tb 0.6113 0.3887 0.0011
Tb 0.7002 0.2998 0.6855
Tb 0.7190 0.2810 0.2878
Tb 0.9824 0.0176 0.0000
Ho 0.1992 0.8008 0.4891
Ho 0.8008 0.1992 0.9891
Er 0.4119 0.5881 0.9355
Er 0.5881 0.4119 0.4355
Tm 0.1102 0.8898 0.2163
Tm 0.1138 0.8862 0.7937
Tm 0.8862 0.1138 0.2937
Tm 0.8898 0.1102 0.7163

TbHo2Er6Tm: theoretical powder diffraction line list (a wavelength of 1.5418 Å), based on a crystal structure in Alexandria, relaxed with GGA-PBE.

The 12 most intense peaks (2θ from 15° to 90°), low angle first:
- 2θ = 28.55°, I 15
- 2θ = 29.04°, I 36
- 2θ = 31.14°, I 100
- 2θ = 31.79°, I 45
- 2θ = 31.98°, I 61
- 2θ = 32.12°, I 34
- 2θ = 32.84°, I 19
- 2θ = 34.40°, I 46
- 2θ = 35.13°, I 14
- 2θ = 51.67°, I 12
- 2θ = 54.67°, I 11
- 2θ = 57.33°, I 14

Structural model:
Cell lengths 8.6624, 8.6624, 9.4251 Å; angles 93.88, 93.88, 117.94 degrees
Atoms (fractional coordinates):
Tb 0.0232 0.9768 0.7500
Tb 0.9768 0.0232 0.2500
Ho 0.1975 0.3034 0.5448
Ho 0.3034 0.1975 0.0448
Ho 0.6966 0.8025 0.9552
Ho 0.8025 0.6966 0.4552
Er 0.0187 0.5698 0.6849
Er 0.1255 0.7509 0.0567
Er 0.2491 0.8745 0.4433
Er 0.2904 0.5046 0.8809
Er 0.4302 0.9813 0.8151
Er 0.4954 0.7096 0.6191
Er 0.5046 0.2904 0.3809
Er 0.5698 0.0187 0.1849
Er 0.7096 0.4954 0.1191
Er 0.7509 0.1255 0.5567
Er 0.8745 0.2491 0.9433
Er 0.9813 0.4302 0.3151
Tm 0.4091 0.5909 0.2500
Tm 0.5909 0.4091 0.7500

TbHo4Er2Tm2: theoretical powder diffraction line list (a wavelength of 1.5418 Å), based on a crystal structure in Alexandria, relaxed with GGA-PBE.

The 12 most intense peaks (2θ from 15° to 90°), low angle first:
- 2θ = 29.34°, I 37
- 2θ = 31.72°, I 50
- 2θ = 32.43°, I 100
- 2θ = 34.16°, I 88
- 2θ = 40.93°, I 15
- 2θ = 51.63°, I 38
- 2θ = 55.81°, I 21
- 2θ = 59.19°, I 18
- 2θ = 61.88°, I 45
- 2θ = 62.30°, I 15
- 2θ = 63.37°, I 15
- 2θ = 88.66°, I 19

Structural model:
Cell lengths 9.3670, 9.3670, 9.3982 Å; angles 115.28, 115.28, 21.79 degrees
Atoms (fractional coordinates):
Tb 0.0000 0.0000 0.0000
Ho 0.1855 0.1855 0.3340
Ho 0.4815 0.4815 0.6655
Ho 0.5185 0.5185 0.3345
Ho 0.8145 0.8145 0.6660
Er 0.1481 0.1481 0.6669
Er 0.8519 0.8519 0.3331
Tm 0.3327 0.3327 0.9999
Tm 0.6673 0.6673 0.0001

TbHo2Er2Tm: theoretical powder diffraction line list (a wavelength of 1.5418 Å), based on a crystal structure in Alexandria, relaxed with GGA-PBE.

The 12 most intense peaks (2θ from 15° to 90°), low angle first:
- 2θ = 27.21°, I 35
- 2θ = 29.27°, I 100
- 2θ = 30.09°, I 24
- 2θ = 30.80°, I 82
- 2θ = 30.91°, I 83
- 2θ = 31.84°, I 40
- 2θ = 33.80°, I 24
- 2θ = 34.38°, I 67
- 2θ = 36.62°, I 34
- 2θ = 38.98°, I 23
- 2θ = 41.75°, I 79
- 2θ = 65.76°, I 34

Structural model:
Cell lengths 6.5156, 17.4197, 3.3367 Å; angles 90.00, 90.00, 90.00 degrees
Atoms (fractional coordinates):
Tb 0.0000 0.0000 0.0000
Tb 0.5000 0.5000 0.5000
Ho 0.2336 0.1489 0.5000
Ho 0.2663 0.6489 0.0000
Ho 0.7336 0.3511 0.0000
Ho 0.7664 0.8511 0.5000
Er 0.2356 0.3188 0.0000
Er 0.2644 0.8188 0.5000
Er 0.7356 0.1812 0.5000
Er 0.7644 0.6812 0.0000
Tm 0.0000 0.5000 0.0000
Tm 0.5000 0.0000 0.5000

Tb2Y4HoEr2: theoretical powder diffraction line list (a wavelength of 1.5418 Å), based on a crystal structure in Alexandria, relaxed with GGA-PBE.

The 12 most intense peaks (2θ from 15° to 90°), low angle first:
- 2θ = 28.98°, I 47
- 2θ = 31.34°, I 47
- 2θ = 32.03°, I 100
- 2θ = 33.74°, I 86
- 2θ = 40.42°, I 20
- 2θ = 45.85°, I 13
- 2θ = 50.97°, I 36
- 2θ = 55.09°, I 22
- 2θ = 58.43°, I 17
- 2θ = 61.06°, I 41
- 2θ = 61.47°, I 15
- 2θ = 62.53°, I 15

Structural model:
Cell lengths 9.4812, 9.4812, 9.5111 Å; angles 115.30, 115.30, 21.79 degrees
Atoms (fractional coordinates):
Tb 0.1486 0.1486 0.1678
Tb 0.8514 0.8514 0.8322
Y 0.1853 0.1853 0.8325
Y 0.4814 0.4814 0.1664
Y 0.5186 0.5186 0.8336
Y 0.8147 0.8147 0.1675
Ho 0.0000 0.0000 0.5000
Er 0.3332 0.3332 0.5006
Er 0.6668 0.6668 0.4994

TbY2Ho6Er3: theoretical powder diffraction line list (a wavelength of 1.5418 Å), based on a crystal structure in Alexandria, relaxed with GGA-PBE.

The 12 most intense peaks (2θ from 15° to 90°), low angle first:
- 2θ = 31.03°, I 100
- 2θ = 35.99°, I 51
- 2θ = 51.81°, I 36
- 2θ = 61.61°, I 21
- 2θ = 61.66°, I 21
- 2θ = 64.70°, I 12
- 2θ = 76.24°, I 2
- 2θ = 76.36°, I 4
- 2θ = 84.63°, I 13
- 2θ = 84.69°, I 4
- 2θ = 87.34°, I 8
- 2θ = 87.43°, I 8

Structural model:
Cell lengths 6.1117, 6.1117, 11.7003 Å; angles 94.98, 94.98, 119.94 degrees
Atoms (fractional coordinates):
Tb 0.0000 0.0000 0.0000
Y 0.3333 0.6667 0.0000
Y 0.6667 0.3333 0.0000
Ho 0.0841 0.4168 0.2519
Ho 0.2487 0.2487 0.7481
Ho 0.4168 0.0841 0.2519
Ho 0.5832 0.9159 0.7481
Ho 0.7513 0.7513 0.2519
Ho 0.9159 0.5832 0.7481
Er 0.1668 0.8332 0.5000
Er 0.5000 0.5000 0.5000
Er 0.8332 0.1668 0.5000

Tb3YHoEr: theoretical powder diffraction line list (a wavelength of 1.5418 Å), based on a crystal structure in Alexandria, relaxed with GGA-PBE.

The 12 most intense peaks (2θ from 15° to 90°), low angle first:
- 2θ = 25.51°, I 17
- 2θ = 31.52°, I 87
- 2θ = 31.67°, I 95
- 2θ = 32.18°, I 100
- 2θ = 41.51°, I 18
- 2θ = 45.40°, I 32
- 2θ = 45.94°, I 15
- 2θ = 56.28°, I 15
- 2θ = 56.70°, I 17
- 2θ = 56.85°, I 15
- 2θ = 57.20°, I 17
- 2θ = 62.84°, I 29

Structural model:
Cell lengths 5.6558, 6.9844, 9.5827 Å; angles 90.00, 90.06, 90.01 degrees
Atoms (fractional coordinates):
Tb 0.2233 0.2511 0.0820
Tb 0.2247 0.7487 0.4175
Tb 0.2768 0.7489 0.0820
Tb 0.7232 0.2511 0.9180
Tb 0.7753 0.2513 0.5825
Tb 0.7767 0.7489 0.9180
Y 0.2498 0.9996 0.7485
Y 0.7502 0.0004 0.2515
Ho 0.2750 0.2510 0.4175
Ho 0.7250 0.7490 0.5825
Er 0.2500 0.5005 0.7486
Er 0.7500 0.4995 0.2514

Ho3Er3ZnTc2: theoretical powder diffraction line list (a wavelength of 1.5418 Å), based on a crystal structure in Alexandria, relaxed with GGA-PBE.

The 12 most intense peaks (2θ from 15° to 90°), low angle first:
- 2θ = 32.27°, I 100
- 2θ = 33.99°, I 36
- 2θ = 34.80°, I 48
- 2θ = 38.71°, I 43
- 2θ = 41.59°, I 10
- 2θ = 46.95°, I 12
- 2θ = 47.52°, I 16
- 2θ = 51.26°, I 10
- 2θ = 53.02°, I 11
- 2θ = 59.71°, I 14
- 2θ = 62.92°, I 46
- 2θ = 72.03°, I 10

Structural model:
Cell lengths 8.0570, 8.0570, 3.8265 Å; angles 90.00, 90.00, 120.00 degrees
Atoms (fractional coordinates):
Ho 0.0000 0.7209 0.0000
Ho 0.2791 0.2791 0.0000
Ho 0.7209 0.0000 0.0000
Er 0.0000 0.3979 0.5000
Er 0.3979 0.0000 0.5000
Er 0.6021 0.6021 0.5000
Zn 0.0000 0.0000 0.5000
Tc 0.3333 0.6667 0.0000
Tc 0.6667 0.3333 0.0000

Ho3ErTe4: theoretical powder diffraction line list (a wavelength of 1.5418 Å), based on a crystal structure in Alexandria, relaxed with GGA-PBE.

The 12 most intense peaks (2θ from 15° to 90°), low angle first:
- 2θ = 29.17°, I 100
- 2θ = 41.41°, I 13
- 2θ = 41.71°, I 51
- 2θ = 42.13°, I 12
- 2θ = 51.42°, I 14
- 2θ = 52.03°, I 13
- 2θ = 60.56°, I 8
- 2θ = 68.11°, I 6
- 2θ = 68.44°, I 12
- 2θ = 68.58°, I 12
- 2θ = 75.74°, I 11
- 2θ = 76.72°, I 8

Structural model:
Cell lengths 7.5307, 8.5786, 7.5226 Å; angles 90.00, 109.19, 90.00 degrees
Atoms (fractional coordinates):
Ho 0.0000 0.1247 0.2500
Ho 0.0000 0.3741 0.7500
Ho 0.0000 0.6259 0.2500
Ho 0.0000 0.8753 0.7500
Ho 0.5000 0.1246 0.7500
Ho 0.5000 0.8754 0.2500
Er 0.5000 0.3739 0.2500
Er 0.5000 0.6261 0.7500
Te 0.2504 0.1253 0.0005
Te 0.2504 0.8747 0.5005
Te 0.2512 0.3759 0.5001
Te 0.2512 0.6241 0.0001
Te 0.7488 0.3759 0.9999
Te 0.7488 0.6241 0.4999
Te 0.7496 0.1253 0.4995
Te 0.7496 0.8747 0.9995